No. 1
Starting from a crystal structure in Alexandria, relaxed with GGA-PBE, the powder diffraction line list of U2PbO6 was simulated for Cu Kα (λ = 1.5418 Å).
Kinematic intensities with the Lorentz-polarization factor, no thermal factor.

Cell lengths 5.9685, 5.9685, 5.0344 Å; angles 90.00, 90.00, 120.00 degrees
Space group P-31m (No. 162)
One atom of each set of equivalent atoms:
U: 0.3333 0.6667 0.0000 [2 per cell]
Pb: 0.0000 0.0000 0.5000 [1 per cell]
O: 0.0000 0.3683 0.2104 [6 per cell]

The 12 most intense peaks (10 to 80 degrees two-theta), low angle first:
Position (°2θ)	d [Å]	I/Imax
17.6	5.034	149
24.7	3.606	1000
29.9	2.984	609
35.0	2.567	139
35.7	2.517	114
39.2	2.299	295
47.2	1.924	470
50.1	1.821	306
53.2	1.723	184
65.7	1.422	136
68.0	1.379	130
73.8	1.284	127

***

No. 2
Starting from a crystal structure in Alexandria, relaxed with GGA-PBE, the powder diffraction line list of UPbO4 was simulated for Cu Kα (λ = 1.5418 Å).
Kinematic intensities with the Lorentz-polarization factor, no thermal factor.

Cell lengths 5.9776, 6.0381, 5.7953 Å; angles 90.00, 90.00, 90.00 degrees
Space group Pmn2_1 (No. 31)
One atom of each set of equivalent atoms:
U: 0.0000 0.0105 0.0000 [2 per cell]
Pb: 0.0000 0.5904 0.5612 [2 per cell]
O: 0.0000 0.2954 0.8588 [2 per cell]
O: 0.0000 0.7341 0.1565 [2 per cell]
O: 0.2334 0.8672 0.7332 [4 per cell]

The 12 most intense peaks (10 to 80 degrees two-theta), low angle first:
Position (°2θ)	d [Å]	I/Imax
21.3	4.181	87
26.0	3.426	1000
29.6	3.019	92
29.9	2.989	221
30.9	2.898	143
33.2	2.695	77
42.6	2.124	76
43.3	2.091	82
43.5	2.080	152
50.8	1.799	172
52.0	1.758	123
53.5	1.713	86

***

No. 3
Starting from a crystal structure in Alexandria, relaxed with GGA-PBE, the powder diffraction line list of UPbO4 was simulated for Cu Kα (λ = 1.5418 Å).
Kinematic intensities with the Lorentz-polarization factor, no thermal factor.

Cell lengths 5.6886, 8.0359, 8.2911 Å; angles 90.00, 90.00, 90.00 degrees
Space group Pbcm (No. 57)
One atom of each set of equivalent atoms:
U: 0.0000 0.0000 0.0000 [4 per cell]
Pb: 0.4883 0.2036 0.2500 [4 per cell]
O: 0.1312 0.0384 0.2500 [4 per cell]
O: 0.1509 0.7500 0.0000 [4 per cell]
O: 0.2965 0.0854 0.5778 [8 per cell]

The 12 most intense peaks (10 to 80 degrees two-theta), low angle first:
Position (°2θ)	d [Å]	I/Imax
26.6	3.350	1000
27.2	3.282	817
31.0	2.885	534
31.5	2.844	285
43.7	2.073	155
44.7	2.026	445
52.2	1.753	292
53.1	1.724	336
53.4	1.715	142
54.8	1.675	149
71.4	1.321	133
74.4	1.276	124